No. 1
# MgCu6OF11
Simulated X-ray powder pattern, a wavelength of 1.5418 Å. Input: a crystal structure in the Materials Project, relaxed with GGA-PBE.
Lines closer than 0.1° are merged.

Peak list (12 most intense, 10° ≤ 2θ ≤ 80°, low angle first)
two_theta	d (Å)	Rel. int.	(hkl)
25.22	3.531	64	1 1 1
27.69	3.221	100	-1 1 1
31.41	2.848	41	0 0 3
31.96	2.800	45	1 1 -2
33.01	2.713	34	1 -1 2
33.78	2.654	21	0 2 -1
37.17	2.419	17	1 0 -3
40.69	2.218	16	2 1 1
50.48	1.808	20	2 0 -3
51.77	1.766	18	2 2 2
53.52	1.712	17	2 -2 1
54.45	1.685	22	0 2 -4

Atomic structure:
abc: 4.8075 5.6419 8.5498
angles: 88.79 88.35 84.75
Space group P1 (No. 1)
One atom of each set of equivalent atoms:
Mg (0.0000, 0.0000, 0.0000) x1
Cu (0.2835, 0.7687, 0.4028) x1
Cu (0.2890, 0.4675, 0.7228) x1
Cu (0.3741, 0.2574, 0.1558) x1
Cu (0.7743, 0.9614, 0.7035) x1
Cu (0.7904, 0.5669, 0.0659) x1
Cu (0.8309, 0.2826, 0.3794) x1
O (0.9673, 0.2720, 0.1540) x1
F (0.0007, 0.0004, 0.4799) x1
F (0.0174, 0.7163, 0.8223) x1
F (0.0424, 0.1807, 0.8058) x1
F (0.0850, 0.7453, 0.1493) x1
F (0.0882, 0.5144, 0.4972) x1
F (0.4778, 0.0305, 0.3207) x1
F (0.4925, 0.4183, 0.9627) x1
F (0.5095, 0.7439, 0.6537) x1
F (0.5628, 0.5395, 0.3150) x1
F (0.5696, 0.2454, 0.6204) x1
F (0.6152, 0.9021, 0.0021) x1



No. 2
# MgCu6OF11
Simulated X-ray powder pattern, a wavelength of 1.5418 Å. Input: a crystal structure in the Materials Project, relaxed with GGA-PBE.
Lines closer than 0.1° are merged.

Peak list (12 most intense, 10° ≤ 2θ ≤ 80°, low angle first)
two_theta	d (Å)	Rel. int.	(hkl)
10.50	8.424	24	0 0 1
21.09	4.212	32	0 0 2
24.27	3.668	62	1 1 1
27.44	3.251	100	-1 1 1
30.10	2.969	61	1 1 2
31.76	2.817	51	1 1 -2
31.87	2.808	30	0 0 3
33.24	2.695	59	1 -1 2
35.08	2.558	32	0 2 -1
41.05	2.199	28	-1 1 3
53.21	1.721	30	2 -2 1
56.26	1.635	24	0 2 -4

Atomic structure:
abc: 5.1497 5.4871 8.4363
angles: 87.54 87.94 82.97
Space group P1 (No. 1)
One atom of each set of equivalent atoms:
Mg (0.0000, 0.0000, 0.0000) x1
Cu (0.0019, 0.4096, 0.1937) x1
Cu (0.4829, 0.5231, 0.5101) x1
Cu (0.4859, 0.8748, 0.1954) x1
Cu (0.4945, 0.1276, 0.7476) x1
Cu (0.8398, 0.5505, 0.7599) x1
Cu (0.9939, 0.0664, 0.5208) x1
O (0.7385, 0.2939, 0.6241) x1
F (0.1618, 0.3206, 0.4087) x1
F (0.1943, 0.7069, 0.1107) x1
F (0.1974, 0.9641, 0.7985) x1
F (0.2685, 0.4475, 0.7131) x1
F (0.2721, 0.8294, 0.4417) x1
F (0.2865, 0.1654, 0.0967) x1
F (0.6729, 0.5727, 0.2939) x1
F (0.7155, 0.8651, 0.8945) x1
F (0.7897, 0.8029, 0.5877) x1
F (0.7935, 0.0504, 0.2086) x1
F (0.8563, 0.3593, 0.9602) x1



No. 3
# MgCu6OF11
Simulated X-ray powder pattern, a wavelength of 1.5418 Å. Input: a crystal structure in the Materials Project, relaxed with GGA-PBE.
Lines closer than 0.1° are merged.

Peak list (12 most intense, 10° ≤ 2θ ≤ 80°, low angle first)
two_theta	d (Å)	Rel. int.	(hkl)
20.76	4.279	16	0 0 2
25.88	3.443	64	1 -1 1
26.07	3.418	71	1 1 -1
31.39	2.850	100	0 0 3
32.51	2.754	50	-1 1 2
33.16	2.701	42	1 1 2
35.37	2.538	18	0 2 1
36.01	2.494	28	2 0 0
48.14	1.890	20	2 0 -3
53.61	1.710	18	2 2 -2
56.52	1.628	20	0 2 4
58.67	1.573	19	2 2 -3

Atomic structure:
abc: 4.9939 5.4365 8.5705
angles: 93.73 90.75 90.95
Space group P1 (No. 1)
One atom of each set of equivalent atoms:
Mg (0.0000, 0.0000, 0.0000) x1
Cu (0.0021, 0.5918, 0.1900) x1
Cu (0.4879, 0.4866, 0.4875) x1
Cu (0.5073, 0.0781, 0.1903) x1
Cu (0.5139, 0.8914, 0.7823) x1
Cu (0.9299, 0.0139, 0.4316) x1
Cu (0.9895, 0.4063, 0.7906) x1
O (0.8319, 0.9021, 0.2158) x1
F (0.1837, 0.0857, 0.7953) x1
F (0.1897, 0.2873, 0.1076) x1
F (0.2157, 0.6733, 0.3982) x1
F (0.2770, 0.1857, 0.4176) x1
F (0.3001, 0.8042, 0.0764) x1
F (0.3038, 0.5885, 0.7299) x1
F (0.6904, 0.7967, 0.5478) x1
F (0.6979, 0.3854, 0.2468) x1
F (0.7126, 0.1847, 0.8981) x1
F (0.7753, 0.2952, 0.5753) x1
F (0.8221, 0.7093, 0.8826) x1



No. 4
# MgCu6OF11
Simulated X-ray powder pattern, a wavelength of 1.5418 Å. Input: a crystal structure in the Materials Project, relaxed with GGA-PBE.
Lines closer than 0.1° are merged.

Peak list (12 most intense, 10° ≤ 2θ ≤ 80°, low angle first)
two_theta	d (Å)	Rel. int.	(hkl)
24.92	3.574	49	-1 1 1
27.24	3.274	16	1 0 -2
28.51	3.131	100	1 1 1
30.79	2.904	13	-1 1 2
32.35	2.767	74	1 -1 2
32.57	2.749	38	1 1 -2
33.76	2.655	28	0 2 -1
51.12	1.787	23	-2 2 2
52.06	1.757	16	2 0 3
53.28	1.719	19	2 2 -1
54.69	1.678	24	0 2 -4
59.00	1.566	13	2 2 2

Atomic structure:
abc: 4.8718 5.6086 8.3388
angles: 90.38 94.22 96.23
Space group P1 (No. 1)
One atom of each set of equivalent atoms:
Mg (0.0000, 0.0000, 0.0000) x1
Cu (0.3089, 0.3146, 0.4230) x1
Cu (0.3668, 0.9806, 0.7274) x1
Cu (0.3765, 0.6431, 0.1085) x1
Cu (0.6644, 0.2837, 0.1826) x1
Cu (0.8209, 0.7736, 0.4163) x1
Cu (0.8568, 0.4882, 0.7539) x1
O (0.5530, 0.5342, 0.3123) x1
F (0.0422, 0.5335, 0.5119) x1
F (0.0738, 0.7920, 0.1805) x1
F (0.0839, 0.2041, 0.8190) x1
F (0.1019, 0.2670, 0.1529) x1
F (0.1066, 0.0236, 0.5024) x1
F (0.1509, 0.7387, 0.8712) x1
F (0.5659, 0.2682, 0.6441) x1
F (0.6049, 0.0150, 0.0133) x1
F (0.6109, 0.0316, 0.3419) x1
F (0.6451, 0.7657, 0.6847) x1
F (0.6549, 0.5037, 0.9903) x1



No. 5
# MgCu6OF11
Simulated X-ray powder pattern, a wavelength of 1.5418 Å. Input: a crystal structure in the Materials Project, relaxed with GGA-PBE.
Lines closer than 0.1° are merged.

Peak list (12 most intense, 10° ≤ 2θ ≤ 80°, low angle first)
two_theta	d (Å)	Rel. int.	(hkl)
24.32	3.660	100	1 1 1
27.13	3.287	87	-1 1 1
32.55	2.751	47	0 0 3
33.48	2.677	49	1 -1 2
33.73	2.657	33	1 1 -2
35.22	2.548	24	0 2 -1
36.20	2.481	25	2 0 0
49.82	1.830	23	2 2 2
50.82	1.797	24	-1 1 4
55.94	1.644	20	-2 2 2
58.38	1.581	24	0 2 -4
63.64	1.462	21	3 1 -2

Atomic structure:
abc: 4.9953 5.5799 8.3176
angles: 84.01 85.63 85.14
Space group P1 (No. 1)
One atom of each set of equivalent atoms:
Mg (0.0000, 0.0000, 0.0000) x1
Cu (0.0106, 0.9966, 0.4963) x1
Cu (0.0265, 0.3739, 0.2010) x1
Cu (0.4953, 0.5003, 0.5066) x1
Cu (0.5147, 0.1194, 0.8164) x1
Cu (0.5173, 0.8268, 0.1570) x1
Cu (0.9407, 0.6237, 0.8150) x1
O (0.6882, 0.8391, 0.9332) x1
F (0.1704, 0.6751, 0.0885) x1
F (0.1838, 0.9474, 0.7832) x1
F (0.2028, 0.2748, 0.4232) x1
F (0.2949, 0.1618, 0.0805) x1
F (0.2986, 0.4414, 0.7322) x1
F (0.3076, 0.7963, 0.4006) x1
F (0.6976, 0.5375, 0.2822) x1
F (0.7136, 0.2064, 0.5800) x1
F (0.8071, 0.3090, 0.9099) x1
F (0.8173, 0.7226, 0.5812) x1
F (0.8244, 0.0538, 0.2189) x1



No. 6
# MgCu2O4F2
Simulated X-ray powder pattern, a wavelength of 1.5418 Å. Input: a crystal structure in the Materials Project, relaxed with GGA-PBE.
Lines closer than 0.1° are merged.

Peak list (12 most intense, 10° ≤ 2θ ≤ 80°, low angle first)
two_theta	d (Å)	Rel. int.	(hkl)
14.06	6.298	60	0 0 1
19.47	4.560	99	1 0 -1
24.05	3.700	87	1 0 1
28.34	3.149	65	0 0 2
31.07	2.879	88	0 1 1
32.38	2.765	100	1 1 0
33.73	2.657	62	2 0 -1
36.90	2.436	47	1 1 1
39.51	2.281	47	2 0 -2
41.04	2.199	42	1 1 -2
45.97	1.974	72	1 1 2
58.48	1.578	54	3 1 -1

Atomic structure:
abc: 5.4379 3.2367 6.4398
angles: 90.00 102.06 90.00
Space group Pm (No. 6)
One atom of each set of equivalent atoms:
Mg (0.0000, 0.0000, 0.0000) x1
Cu (0.4807, 0.5000, 0.9343) x1
Cu (0.8722, 0.0000, 0.4863) x1
O (0.2220, 0.0000, 0.5912) x1
O (0.2853, 0.0000, 0.8143) x1
O (0.7426, 0.5000, 0.5853) x1
O (0.7964, 0.5000, 0.8167) x1
F (0.1749, 0.5000, 0.1375) x1
F (0.7237, 0.0000, 0.1575) x1



No. 7
# MgCu6O2F10
Simulated X-ray powder pattern, a wavelength of 1.5418 Å. Input: a crystal structure in the Materials Project, relaxed with GGA-PBE.
Lines closer than 0.1° are merged.

Peak list (12 most intense, 10° ≤ 2θ ≤ 80°, low angle first)
two_theta	d (Å)	Rel. int.	(hkl)
24.16	3.684	97	1 1 1
27.58	3.234	100	-1 1 1
30.29	2.950	25	1 1 2
32.85	2.726	55	1 -1 2
33.84	2.649	36	1 1 -2
34.07	2.632	33	0 0 3
34.34	2.611	38	0 2 -1
38.07	2.364	25	2 1 1
53.59	1.710	18	1 -3 0
53.89	1.701	21	-1 1 4
56.95	1.617	20	-2 2 2
58.27	1.583	26	0 2 -4

Atomic structure:
abc: 5.1218 5.6452 7.9449
angles: 87.04 84.02 84.84
Space group P1 (No. 1)
One atom of each set of equivalent atoms:
Mg (0.0000, 0.0000, 0.0000) x1
Cu (0.0866, 0.3977, 0.1975) x1
Cu (0.4808, 0.1912, 0.8448) x1
Cu (0.4929, 0.8849, 0.1817) x1
Cu (0.5615, 0.5623, 0.5106) x1
Cu (0.9441, 0.6040, 0.7867) x1
Cu (0.9734, 0.9999, 0.5068) x1
O (0.3123, 0.1572, 0.0730) x1
O (0.8187, 0.7317, 0.5907) x1
F (0.1466, 0.2795, 0.4222) x1
F (0.1516, 0.6605, 0.0338) x1
F (0.1975, 0.0254, 0.7722) x1
F (0.2703, 0.8105, 0.3945) x1
F (0.3141, 0.5163, 0.7114) x1
F (0.6851, 0.2024, 0.6117) x1
F (0.6987, 0.8332, 0.9385) x1
F (0.7069, 0.5775, 0.2684) x1
F (0.7976, 0.3137, 0.9248) x1
F (0.8274, 0.0505, 0.2293) x1



No. 8
# MgCu2O4F2
Simulated X-ray powder pattern, a wavelength of 1.5418 Å. Input: a crystal structure in the Materials Project, relaxed with GGA-PBE.
Lines closer than 0.1° are merged.

Peak list (12 most intense, 10° ≤ 2θ ≤ 80°, low angle first)
two_theta	d (Å)	Rel. int.	(hkl)
18.76	4.731	42	0 0 1
28.67	3.113	100	2 0 1
31.89	2.806	41	1 1 -1
34.68	2.587	16	2 0 -2
35.40	2.536	74	3 1 0
35.50	2.529	15	3 1 -1
44.76	2.025	24	3 1 1
50.39	1.811	43	5 1 -2
54.97	1.670	20	0 2 0
57.57	1.601	34	7 1 -1
60.41	1.532	27	3 1 -3
63.17	1.472	19	2 2 1

Atomic structure:
abc: 12.7793 3.3406 5.1732
angles: 90.00 113.76 90.00
Space group Cm (No. 8)
One atom of each set of equivalent atoms:
Mg (0.0000, 0.0000, 0.0000) x2
Cu (0.1525, 0.5000, 0.6397) x2
Cu (0.3474, 0.0000, 0.3346) x2
O (0.0635, 0.0000, 0.6915) x2
O (0.0660, 0.5000, 0.2311) x2
O (0.4343, 0.0000, 0.0991) x2
O (0.4367, 0.5000, 0.5649) x2
F (0.2494, 0.0000, 0.5445) x2
F (0.2505, 0.5000, 0.0450) x2



No. 9
# MgCu6OF11
Simulated X-ray powder pattern, a wavelength of 1.5418 Å. Input: a crystal structure in the Materials Project, relaxed with GGA-PBE.
Lines closer than 0.1° are merged.

Peak list (12 most intense, 10° ≤ 2θ ≤ 80°, low angle first)
two_theta	d (Å)	Rel. int.	(hkl)
20.23	4.390	19	0 0 2
23.74	3.749	43	1 1 1
27.13	3.287	80	1 0 2
28.51	3.130	100	-1 1 1
30.19	2.960	59	1 1 -2
30.54	2.927	23	0 0 3
33.61	2.667	26	1 -1 2
33.86	2.647	24	0 2 -1
34.38	2.608	38	0 1 3
44.58	2.033	27	0 1 -4
45.71	1.985	19	2 2 -1
53.51	1.713	19	0 2 -4

Atomic structure:
abc: 4.9728 5.6954 8.7835
angles: 88.92 88.92 78.44
Space group P1 (No. 1)
One atom of each set of equivalent atoms:
Mg (0.0000, 0.0000, 0.0000) x1
Cu (0.2253, 0.4046, 0.8994) x1
Cu (0.2358, 0.6470, 0.4679) x1
Cu (0.2858, 0.0875, 0.2938) x1
Cu (0.5595, 0.7652, 0.8121) x1
Cu (0.7129, 0.5583, 0.2358) x1
Cu (0.7563, 0.2314, 0.5905) x1
O (0.4448, 0.7822, 0.3307) x1
F (0.0140, 0.9830, 0.4943) x1
F (0.3964, 0.0560, 0.9699) x1
F (0.4665, 0.5025, 0.6668) x1
F (0.4877, 0.3330, 0.3426) x1
F (0.5009, 0.5574, 0.9847) x1
F (0.5432, 0.0031, 0.6577) x1
F (0.9298, 0.7901, 0.1619) x1
F (0.9350, 0.2446, 0.8384) x1
F (0.9483, 0.4671, 0.5015) x1
F (0.9858, 0.2681, 0.1595) x1
F (0.9964, 0.7376, 0.8565) x1



No. 10
# MgCu6OF11
Simulated X-ray powder pattern, a wavelength of 1.5418 Å. Input: a crystal structure in the Materials Project, relaxed with GGA-PBE.
Lines closer than 0.1° are merged.

Peak list (12 most intense, 10° ≤ 2θ ≤ 80°, low angle first)
two_theta	d (Å)	Rel. int.	(hkl)
24.59	3.620	69	1 -1 1
25.80	3.454	71	1 1 -1
30.94	2.890	52	1 -1 2
31.69	2.824	100	-1 1 2
32.92	2.720	17	0 0 3
34.90	2.571	21	0 2 1
35.60	2.522	49	1 1 2
38.91	2.315	21	1 0 3
45.40	1.998	19	2 -2 0
47.08	1.930	17	-2 2 1
49.74	1.833	19	1 -1 4
51.38	1.778	17	2 0 3

Atomic structure:
abc: 5.0959 5.7247 8.2481
angles: 96.76 94.11 95.90
Space group P1 (No. 1)
One atom of each set of equivalent atoms:
Mg (0.0000, 0.0000, 0.0000) x1
Cu (0.0387, 0.5408, 0.1041) x1
Cu (0.0397, 0.3202, 0.7258) x1
Cu (0.0777, 0.9087, 0.4198) x1
Cu (0.5337, 0.8131, 0.7441) x1
Cu (0.5838, 0.4322, 0.4178) x1
Cu (0.5913, 0.9270, 0.2172) x1
O (0.9188, 0.8119, 0.2052) x1
F (0.1980, 0.3142, 0.9546) x1
F (0.2702, 0.9813, 0.6347) x1
F (0.3305, 0.8573, 0.9971) x1
F (0.3320, 0.5153, 0.6570) x1
F (0.3500, 0.1386, 0.3304) x1
F (0.3787, 0.6211, 0.2885) x1
F (0.7691, 0.1044, 0.8110) x1
F (0.7936, 0.7200, 0.5156) x1
F (0.8079, 0.2295, 0.1461) x1
F (0.8167, 0.6857, 0.8731) x1
F (0.8430, 0.2522, 0.5120) x1



No. 11
# MgCu6OF11
Simulated X-ray powder pattern, a wavelength of 1.5418 Å. Input: a crystal structure in the Materials Project, relaxed with GGA-PBE.
Lines closer than 0.1° are merged.

Peak list (12 most intense, 10° ≤ 2θ ≤ 80°, low angle first)
two_theta	d (Å)	Rel. int.	(hkl)
18.84	4.710	25	0 1 -1
25.93	3.436	100	1 1 -1
26.15	3.408	71	1 -1 1
30.85	2.899	57	0 0 3
31.55	2.836	36	1 -1 2
32.29	2.772	54	-1 1 2
32.72	2.737	57	1 1 2
35.24	2.547	24	0 2 1
35.56	2.524	25	1 0 -3
36.08	2.490	25	2 0 0
55.61	1.653	39	0 2 4
62.22	1.492	24	-3 1 2

Atomic structure:
abc: 4.9804 5.4225 8.7099
angles: 93.04 90.99 90.02
Space group P1 (No. 1)
One atom of each set of equivalent atoms:
Mg (0.0000, 0.0000, 0.0000) x1
Cu (0.0187, 0.5956, 0.2088) x1
Cu (0.4930, 0.1234, 0.1941) x1
Cu (0.5009, 0.8469, 0.8224) x1
Cu (0.5184, 0.4681, 0.5024) x1
Cu (0.9401, 0.4388, 0.7407) x1
Cu (0.9994, 0.9905, 0.5081) x1
O (0.8099, 0.2731, 0.5708) x1
F (0.1721, 0.0342, 0.7994) x1
F (0.1723, 0.2953, 0.1051) x1
F (0.2065, 0.6899, 0.4325) x1
F (0.2961, 0.8171, 0.0999) x1
F (0.2978, 0.1784, 0.4276) x1
F (0.3170, 0.5510, 0.7428) x1
F (0.6714, 0.1393, 0.9222) x1
F (0.6866, 0.4268, 0.2589) x1
F (0.7208, 0.7760, 0.5821) x1
F (0.8265, 0.9275, 0.2080) x1
F (0.8306, 0.6740, 0.9107) x1



No. 12
# MgCu4O2F4
Simulated X-ray powder pattern, a wavelength of 1.5418 Å. Input: a crystal structure in the Materials Project, relaxed with GGA-PBE.
Lines closer than 0.1° are merged.

Peak list (12 most intense, 10° ≤ 2θ ≤ 80°, low angle first)
two_theta	d (Å)	Rel. int.	(hkl)
16.19	5.473	59	0 1 0
19.92	4.458	100	1 0 -1
32.63	2.744	48	0 0 2
32.83	2.728	67	0 2 0
34.97	2.566	25	-1 2 1
36.89	2.437	15	0 2 -2
40.47	2.229	41	2 0 -2
41.91	2.156	20	1 -1 2
42.07	2.148	20	1 2 -1
46.91	1.937	19	2 -2 1
48.74	1.868	11	2 0 -3
68.84	1.364	13	0 4 0

Atomic structure:
abc: 5.0305 6.2840 6.3156
angles: 101.36 110.74 110.83
Space group P1 (No. 1)
One atom of each set of equivalent atoms:
Mg (0.0000, 0.0000, 0.0000) x1
Cu (0.2506, 0.5270, 0.4786) x1
Cu (0.2573, 0.5217, 0.9771) x1
Cu (0.7430, 0.0244, 0.4791) x1
Cu (0.7494, 0.5235, 0.4753) x1
O (0.0007, 0.3854, 0.6179) x1
O (0.4992, 0.6640, 0.3362) x1
F (0.0856, 0.9904, 0.7297) x1
F (0.3615, 0.0427, 0.2644) x1
F (0.6394, 0.7336, 0.9582) x1
F (0.9140, 0.2720, 0.0113) x1